The following is a theoretical X-ray powder pattern of Zr2Fe3Si. It was derived from a PBE-relaxed structure, using Cu Kα (weighted mean of Kα1 and Kα2).
No peak broadening, texture or thermal motion is included.

Principal peaks in the range 2θ = 10–90°, in order of rising 2θ:
2theta, Rel. int.
30.31, 19
35.98, 38
39.46, 100
41.79, 24
42.59, 90
43.33, 85
44.95, 11
67.02, 37
69.23, 20
73.20, 31
76.30, 24
89.49, 18

a = 4.9922 Å, b = 4.9922 Å, c = 8.0672 Å
α = 90.00°, β = 90.00°, γ = 120.00°
Space group P6_3/mmc (No. 194)
Unique sites:
1 Zr 0.3333 0.6667 0.0638 x4
2 Fe 0.1697 0.3393 0.7500 x6
3 Si 0.0000 0.0000 0.0000 x2